(1)
This entry pairs a crystal structure of Li3VP2O8 with its simulated X-ray diffraction stick pattern. Radiation: Cu Kα. Structure: a crystal structure in the Materials Project, relaxed with GGA+U.
Intensities are scaled so that the largest is 100.

Peak list (12 most intense, 2θ from 10° to 90°, by intensity)
2θ (°), I/Imax
24.22, 100
25.92, 58
14.11, 55
34.81, 35
34.67, 35
32.76, 31
36.85, 30
39.68, 23
64.34, 19
43.92, 14
63.99, 13
58.87, 13

Cell and atoms:
Cell lengths 4.918, 4.918, 6.276 Å; angles 90.35, 90.35, 67.55 degrees
Positions (direct):
1 Li 0.000 0.000 0.000
2 Li 0.325 0.325 0.773
3 Li 0.675 0.675 0.227
4 V 0.000 0.000 0.500
5 P 0.350 0.350 0.263
6 P 0.650 0.650 0.737
7 O 0.237 0.696 0.271
8 O 0.240 0.240 0.467
9 O 0.246 0.246 0.063
10 O 0.304 0.763 0.729
11 O 0.696 0.237 0.271
12 O 0.754 0.754 0.937
13 O 0.760 0.760 0.533
14 O 0.763 0.304 0.729


(2)
This entry pairs a crystal structure of Li4VP6O18 with its simulated X-ray diffraction stick pattern. Radiation: Cu Kα. Structure: a crystal structure in the Materials Project, relaxed with GGA+U.
Intensities are scaled so that the largest is 100.

Peak list (12 most intense, 2θ from 10° to 90°, by intensity)
2θ (°), I/Imax
18.44, 100
29.85, 84
12.68, 80
27.94, 69
30.18, 59
24.75, 41
26.79, 38
32.32, 36
18.13, 29
19.76, 28
37.88, 27
22.95, 25

Cell and atoms:
Cell lengths 7.357, 7.357, 13.995 Å; angles 93.34, 93.34, 64.18 degrees
Positions (direct):
1 Li 0.040 0.300 0.425
2 Li 0.217 0.440 0.047
3 Li 0.300 0.040 0.925
4 Li 0.440 0.217 0.547
5 Li 0.560 0.783 0.453
6 Li 0.700 0.960 0.075
7 Li 0.783 0.560 0.953
8 Li 0.960 0.700 0.575
9 V 0.372 0.628 0.750
10 V 0.628 0.372 0.250
11 P 0.036 0.147 0.114
12 P 0.093 0.369 0.751
13 P 0.147 0.036 0.614
14 P 0.230 0.600 0.390
15 P 0.369 0.093 0.251
16 P 0.400 0.770 0.110
17 P 0.600 0.230 0.890
18 P 0.631 0.907 0.749
19 P 0.770 0.400 0.610
20 P 0.853 0.964 0.386
21 P 0.907 0.631 0.249
22 P 0.964 0.853 0.886
23 O 0.087 0.246 0.035
24 O 0.097 0.843 0.402
25 O 0.098 0.370 0.857
26 O 0.134 0.185 0.214
27 O 0.140 0.552 0.288
28 O 0.157 0.903 0.098
29 O 0.178 0.811 0.869
30 O 0.185 0.134 0.714
31 O 0.187 0.496 0.469
32 O 0.188 0.476 0.698
33 O 0.189 0.822 0.631
34 O 0.246 0.087 0.535
35 O 0.370 0.098 0.357
36 O 0.431 0.558 0.127
37 O 0.442 0.569 0.373
38 O 0.448 0.860 0.212
39 O 0.476 0.188 0.198
40 O 0.496 0.187 0.969
41 O 0.504 0.813 0.031
42 O 0.524 0.812 0.802
43 O 0.552 0.140 0.788
44 O 0.558 0.431 0.627
45 O 0.569 0.442 0.873
46 O 0.630 0.902 0.643
47 O 0.754 0.913 0.465
48 O 0.811 0.178 0.369
49 O 0.812 0.524 0.302
50 O 0.813 0.504 0.531
51 O 0.815 0.866 0.286
52 O 0.822 0.189 0.131
53 O 0.843 0.097 0.902
54 O 0.860 0.448 0.712
55 O 0.866 0.815 0.786
56 O 0.902 0.630 0.143
57 O 0.903 0.157 0.598
58 O 0.913 0.754 0.965